[1]
# Zr2FeBi2Pd
Calculated PXRD pattern, Cu Kα, 1.54184 Å. Input: a structure optimized by DFT (PBE).

Structural model:
a b c (Å): 7.7856 7.7856 7.7856
angles (deg): 131.48 131.48 71.05
Atoms (fractional coordinates):
Zr 0.1117 0.6250 0.9867
Zr 0.3750 0.3617 0.4867
Zr 0.6383 0.1250 0.0133
Zr 0.8750 0.8883 0.5133
Fe 0.0000 0.0000 0.0000
Fe 0.7500 0.2500 0.5000
Bi 0.1131 0.1250 0.4881
Bi 0.3750 0.8869 0.0119
Bi 0.6369 0.6250 0.5119
Bi 0.8750 0.3631 0.9881
Pd 0.2500 0.7500 0.5000
Pd 0.5000 0.5000 0.0000

The 8 most intense peaks (5° ≤ 2θ ≤ 70°), low angle first:
| 2θ (°) | intensity |
| --- | --- |
| 24.17 | 493 |
| 27.89 | 408 |
| 28.17 | 202 |
| 39.85 | 502 |
| 40.06 | 1000 |
| 47.15 | 174 |
| 49.51 | 173 |
| 57.63 | 167 |

[2]
# ScFeBiPt
Calculated PXRD pattern, Cu Kα, 1.54184 Å. Input: a structure optimized by DFT (PBE).

Structural model:
a b c (Å): 6.6424 6.6424 6.6424
angles (deg): 90.00 90.00 90.00
Atoms (fractional coordinates):
Sc 0.0000 0.0000 0.0000
Sc 0.0000 0.5000 0.5000
Sc 0.5000 0.0000 0.5000
Sc 0.5000 0.5000 0.0000
Fe 0.2500 0.2500 0.7500
Fe 0.2500 0.7500 0.2500
Fe 0.7500 0.2500 0.2500
Fe 0.7500 0.7500 0.7500
Bi 0.0000 0.0000 0.5000
Bi 0.0000 0.5000 0.0000
Bi 0.5000 0.0000 0.0000
Bi 0.5000 0.5000 0.5000
Pt 0.2500 0.2500 0.2500
Pt 0.2500 0.7500 0.7500
Pt 0.7500 0.2500 0.7500
Pt 0.7500 0.7500 0.2500

The 6 most intense peaks (5° ≤ 2θ ≤ 70°), low angle first:
| 2θ (°) | intensity |
| --- | --- |
| 23.19 | 404 |
| 38.33 | 1000 |
| 45.28 | 225 |
| 55.32 | 172 |
| 60.78 | 99 |
| 69.30 | 350 |

[3]
# Fe2Bi8S
Calculated PXRD pattern, Cu Kα, 1.54184 Å. Input: a structure optimized by DFT (PBE).

Structural model:
a b c (Å): 11.1004 11.1004 9.8016
angles (deg): 90.00 90.00 90.00
Atoms (fractional coordinates):
Fe 0.2052 0.2052 0.2358
Fe 0.2052 0.2052 0.7642
Fe 0.2948 0.7052 0.2642
Fe 0.2948 0.7052 0.7358
Fe 0.7052 0.2948 0.2642
Fe 0.7052 0.2948 0.7358
Fe 0.7948 0.7948 0.2358
Fe 0.7948 0.7948 0.7642
Bi 0.0000 0.0000 0.3242
Bi 0.0000 0.0000 0.6758
Bi 0.0496 0.7003 0.1855
Bi 0.0496 0.7003 0.8145
Bi 0.1048 0.1048 0.0000
Bi 0.1823 0.1823 0.5000
Bi 0.1928 0.8072 0.5000
Bi 0.2003 0.4504 0.3145
Bi 0.2003 0.4504 0.6855
Bi 0.2997 0.9504 0.1855
Bi 0.2997 0.9504 0.8145
Bi 0.3072 0.3072 0.0000
Bi 0.3177 0.6823 0.0000
Bi 0.3952 0.6048 0.5000
Bi 0.4504 0.2003 0.3145
Bi 0.4504 0.2003 0.6855
Bi 0.5000 0.5000 0.1758
Bi 0.5000 0.5000 0.8242
Bi 0.5496 0.7997 0.3145
Bi 0.5496 0.7997 0.6855
Bi 0.6048 0.3952 0.5000
Bi 0.6823 0.3177 0.0000
Bi 0.6928 0.6928 0.0000
Bi 0.7003 0.0496 0.1855
Bi 0.7003 0.0496 0.8145
Bi 0.7997 0.5496 0.3145
Bi 0.7997 0.5496 0.6855
Bi 0.8072 0.1928 0.5000
Bi 0.8177 0.8177 0.5000
Bi 0.8952 0.8952 0.0000
Bi 0.9504 0.2997 0.1855
Bi 0.9504 0.2997 0.8145
S 0.0000 0.5000 0.0000
S 0.0000 0.5000 0.5000
S 0.5000 0.0000 0.0000
S 0.5000 0.0000 0.5000

The 8 most intense peaks (5° ≤ 2θ ≤ 70°), low angle first:
| 2θ (°) | intensity |
| --- | --- |
| 25.74 | 289 |
| 29.00 | 294 |
| 31.35 | 506 |
| 32.82 | 1000 |
| 34.27 | 401 |
| 38.14 | 300 |
| 41.71 | 313 |
| 52.49 | 283 |

[4]
# Zr3Fe4Bi2Sb2
Calculated PXRD pattern, Cu Kα, 1.54184 Å. Input: a structure optimized by DFT (PBE).

Structural model:
a b c (Å): 7.6472 7.6472 7.6472
angles (deg): 132.16 132.16 69.98
Atoms (fractional coordinates):
Zr 0.0000 0.0000 0.0000
Zr 0.2500 0.7500 0.5000
Zr 0.7500 0.2500 0.5000
Fe 0.1314 0.1314 0.5144
Fe 0.3830 0.8686 0.0000
Fe 0.6170 0.6170 0.4856
Fe 0.8686 0.3830 0.0000
Bi 0.0000 0.5000 0.5000
Bi 0.5000 0.0000 0.5000
Sb 0.2475 0.2475 0.0000
Sb 0.7525 0.7525 0.0000

The 8 most intense peaks (5° ≤ 2θ ≤ 70°), low angle first:
| 2θ (°) | intensity |
| --- | --- |
| 24.78 | 534 |
| 28.49 | 234 |
| 28.79 | 459 |
| 40.95 | 1000 |
| 41.17 | 492 |
| 48.65 | 177 |
| 50.83 | 196 |
| 59.64 | 161 |

[5]
# FeBi10Se10
Calculated PXRD pattern, Cu Kα, 1.54184 Å. Input: a structure optimized by DFT (PBE).

Structural model:
a b c (Å): 11.3613 12.7626 8.7916
angles (deg): 90.00 90.00 90.00
Atoms (fractional coordinates):
Fe 0.0000 0.0000 0.0000
Fe 0.5000 0.5000 0.0000
Bi 0.0000 0.5000 0.2389
Bi 0.0000 0.5000 0.7611
Bi 0.1307 0.0841 0.2130
Bi 0.1307 0.0841 0.7870
Bi 0.1337 0.8369 0.0000
Bi 0.2466 0.3322 0.5000
Bi 0.2534 0.8322 0.5000
Bi 0.3663 0.3369 0.0000
Bi 0.3693 0.5841 0.2130
Bi 0.3693 0.5841 0.7870
Bi 0.5000 0.0000 0.2389
Bi 0.5000 0.0000 0.7611
Bi 0.6307 0.4159 0.2130
Bi 0.6307 0.4159 0.7870
Bi 0.6337 0.6631 0.0000
Bi 0.7466 0.1678 0.5000
Bi 0.7534 0.6678 0.5000
Bi 0.8663 0.1631 0.0000
Bi 0.8693 0.9159 0.2130
Bi 0.8693 0.9159 0.7870
Se 0.0083 0.8512 0.5000
Se 0.1461 0.5917 0.0000
Se 0.1556 0.3144 0.1919
Se 0.1556 0.3144 0.8081
Se 0.1698 0.5422 0.5000
Se 0.3302 0.0422 0.5000
Se 0.3444 0.8144 0.1919
Se 0.3444 0.8144 0.8081
Se 0.3539 0.0917 0.0000
Se 0.4917 0.3512 0.5000
Se 0.5083 0.6488 0.5000
Se 0.6461 0.9083 0.0000
Se 0.6556 0.1856 0.1919
Se 0.6556 0.1856 0.8081
Se 0.6698 0.9578 0.5000
Se 0.8302 0.4578 0.5000
Se 0.8444 0.6856 0.1919
Se 0.8444 0.6856 0.8081
Se 0.8539 0.4083 0.0000
Se 0.9917 0.1488 0.5000

The 8 most intense peaks (5° ≤ 2θ ≤ 70°), low angle first:
| 2θ (°) | intensity |
| --- | --- |
| 24.57 | 462 |
| 25.83 | 518 |
| 26.57 | 1000 |
| 29.07 | 858 |
| 31.97 | 603 |
| 33.15 | 349 |
| 33.28 | 453 |
| 41.68 | 369 |

[6]
# Fe2Bi8Se
Calculated PXRD pattern, Cu Kα, 1.54184 Å. Input: a structure optimized by DFT (PBE).

Structural model:
a b c (Å): 11.1216 11.1216 9.6423
angles (deg): 90.00 90.00 90.00
Atoms (fractional coordinates):
Fe 0.2057 0.2057 0.2414
Fe 0.2057 0.2057 0.7586
Fe 0.2943 0.7057 0.2586
Fe 0.2943 0.7057 0.7414
Fe 0.7057 0.2943 0.2586
Fe 0.7057 0.2943 0.7414
Fe 0.7943 0.7943 0.2414
Fe 0.7943 0.7943 0.7586
Bi 0.0000 0.0000 0.3250
Bi 0.0000 0.0000 0.6750
Bi 0.0492 0.7080 0.1985
Bi 0.0492 0.7080 0.8015
Bi 0.1068 0.1068 0.0000
Bi 0.1854 0.1854 0.5000
Bi 0.1954 0.8046 0.5000
Bi 0.2080 0.4508 0.3015
Bi 0.2080 0.4508 0.6985
Bi 0.2920 0.9508 0.1985
Bi 0.2920 0.9508 0.8015
Bi 0.3046 0.3046 0.0000
Bi 0.3146 0.6854 0.0000
Bi 0.3932 0.6068 0.5000
Bi 0.4508 0.2080 0.3015
Bi 0.4508 0.2080 0.6985
Bi 0.5000 0.5000 0.1750
Bi 0.5000 0.5000 0.8250
Bi 0.5492 0.7920 0.3015
Bi 0.5492 0.7920 0.6985
Bi 0.6068 0.3932 0.5000
Bi 0.6854 0.3146 0.0000
Bi 0.6954 0.6954 0.0000
Bi 0.7080 0.0492 0.1985
Bi 0.7080 0.0492 0.8015
Bi 0.7920 0.5492 0.3015
Bi 0.7920 0.5492 0.6985
Bi 0.8046 0.1954 0.5000
Bi 0.8146 0.8146 0.5000
Bi 0.8932 0.8932 0.0000
Bi 0.9508 0.2920 0.1985
Bi 0.9508 0.2920 0.8015
Se 0.0000 0.5000 0.0000
Se 0.0000 0.5000 0.5000
Se 0.5000 0.0000 0.0000
Se 0.5000 0.0000 0.5000

The 8 most intense peaks (5° ≤ 2θ ≤ 70°), low angle first:
| 2θ (°) | intensity |
| --- | --- |
| 25.74 | 319 |
| 29.31 | 345 |
| 31.49 | 549 |
| 33.19 | 1000 |
| 34.21 | 303 |
| 37.32 | 303 |
| 38.23 | 320 |
| 41.67 | 298 |

[7]
# Fe2SnBi
Calculated PXRD pattern, Cu Kα, 1.54184 Å. Input: a structure optimized by DFT (PBE).

Structural model:
a b c (Å): 6.4371 6.4371 6.4371
angles (deg): 90.00 90.00 90.00
Atoms (fractional coordinates):
Fe 0.2383 0.2383 0.2383
Fe 0.2383 0.2383 0.7617
Fe 0.2383 0.7617 0.2383
Fe 0.2383 0.7617 0.7617
Fe 0.7617 0.2383 0.2383
Fe 0.7617 0.2383 0.7617
Fe 0.7617 0.7617 0.2383
Fe 0.7617 0.7617 0.7617
Sn 0.0000 0.0000 0.0000
Sn 0.0000 0.0000 0.5000
Sn 0.0000 0.5000 0.0000
Sn 0.5000 0.0000 0.0000
Bi 0.0000 0.5000 0.5000
Bi 0.5000 0.0000 0.5000
Bi 0.5000 0.5000 0.0000
Bi 0.5000 0.5000 0.5000

The 8 most intense peaks (5° ≤ 2θ ≤ 70°), low angle first:
| 2θ (°) | intensity |
| --- | --- |
| 13.76 | 34 |
| 23.94 | 22 |
| 27.72 | 281 |
| 31.07 | 51 |
| 39.60 | 1000 |
| 49.02 | 90 |
| 57.25 | 168 |
| 64.77 | 128 |

[8]
# Fe3Sn2Bi2
Calculated PXRD pattern, Cu Kα, 1.54184 Å. Input: a structure optimized by DFT (PBE).

Structural model:
a b c (Å): 7.9501 7.9501 7.9501
angles (deg): 34.61 34.61 34.61
Atoms (fractional coordinates):
Fe 0.0000 0.0000 0.0000
Fe 0.2541 0.2541 0.2541
Fe 0.5096 0.5096 0.5096
Sn 0.1272 0.1272 0.1272
Sn 0.6313 0.6313 0.6313
Bi 0.3826 0.3826 0.3826
Bi 0.8754 0.8754 0.8754

The 8 most intense peaks (5° ≤ 2θ ≤ 70°), low angle first:
| 2θ (°) | intensity |
| --- | --- |
| 26.97 | 785 |
| 38.05 | 1000 |
| 38.96 | 911 |
| 47.26 | 186 |
| 55.60 | 325 |
| 62.21 | 180 |
| 68.75 | 178 |
| 69.36 | 337 |

[9]
# Fe2SnBi
Calculated PXRD pattern, Cu Kα, 1.54184 Å. Input: a structure optimized by DFT (PBE).

Structural model:
a b c (Å): 6.4371 6.4371 6.4371
angles (deg): 90.00 90.00 90.00
Atoms (fractional coordinates):
Fe 0.2384 0.2384 0.2384
Fe 0.2384 0.2384 0.7616
Fe 0.2384 0.7616 0.2384
Fe 0.2384 0.7616 0.7616
Fe 0.7616 0.2384 0.2384
Fe 0.7616 0.2384 0.7616
Fe 0.7616 0.7616 0.2384
Fe 0.7616 0.7616 0.7616
Sn 0.0000 0.0000 0.0000
Sn 0.0000 0.0000 0.5000
Sn 0.0000 0.5000 0.0000
Sn 0.5000 0.0000 0.0000
Bi 0.0000 0.5000 0.5000
Bi 0.5000 0.0000 0.5000
Bi 0.5000 0.5000 0.0000
Bi 0.5000 0.5000 0.5000

The 8 most intense peaks (5° ≤ 2θ ≤ 70°), low angle first:
| 2θ (°) | intensity |
| --- | --- |
| 13.76 | 34 |
| 23.94 | 22 |
| 27.72 | 281 |
| 31.07 | 50 |
| 39.60 | 1000 |
| 49.02 | 90 |
| 57.25 | 168 |
| 64.77 | 128 |

[10]
# Fe2Bi8Te
Calculated PXRD pattern, Cu Kα, 1.54184 Å. Input: a structure optimized by DFT (PBE).

Structural model:
a b c (Å): 11.1475 11.1475 9.7984
angles (deg): 90.00 90.00 90.00
Atoms (fractional coordinates):
Fe 0.2064 0.2064 0.2444
Fe 0.2064 0.2064 0.7556
Fe 0.2936 0.7064 0.2556
Fe 0.2936 0.7064 0.7444
Fe 0.7064 0.2936 0.2556
Fe 0.7064 0.2936 0.7444
Fe 0.7936 0.7936 0.2444
Fe 0.7936 0.7936 0.7556
Bi 0.0000 0.0000 0.3326
Bi 0.0000 0.0000 0.6674
Bi 0.0437 0.7159 0.2152
Bi 0.0437 0.7159 0.7848
Bi 0.1060 0.1060 0.0000
Bi 0.1934 0.1934 0.5000
Bi 0.1968 0.8032 0.5000
Bi 0.2159 0.4563 0.2848
Bi 0.2159 0.4563 0.7152
Bi 0.2841 0.9563 0.2152
Bi 0.2841 0.9563 0.7848
Bi 0.3032 0.3032 0.0000
Bi 0.3066 0.6934 0.0000
Bi 0.3940 0.6060 0.5000
Bi 0.4563 0.2159 0.2848
Bi 0.4563 0.2159 0.7152
Bi 0.5000 0.5000 0.1674
Bi 0.5000 0.5000 0.8326
Bi 0.5437 0.7841 0.2848
Bi 0.5437 0.7841 0.7152
Bi 0.6060 0.3940 0.5000
Bi 0.6934 0.3066 0.0000
Bi 0.6968 0.6968 0.0000
Bi 0.7159 0.0437 0.2152
Bi 0.7159 0.0437 0.7848
Bi 0.7841 0.5437 0.2848
Bi 0.7841 0.5437 0.7152
Bi 0.8032 0.1968 0.5000
Bi 0.8066 0.8066 0.5000
Bi 0.8940 0.8940 0.0000
Bi 0.9563 0.2841 0.2152
Bi 0.9563 0.2841 0.7848
Te 0.0000 0.5000 0.0000
Te 0.0000 0.5000 0.5000
Te 0.5000 0.0000 0.0000
Te 0.5000 0.0000 0.5000

The 8 most intense peaks (5° ≤ 2θ ≤ 70°), low angle first:
| 2θ (°) | intensity |
| --- | --- |
| 29.08 | 1000 |
| 30.31 | 494 |
| 31.26 | 866 |
| 32.78 | 963 |
| 34.12 | 381 |
| 36.68 | 410 |
| 38.01 | 528 |
| 41.54 | 407 |